[1]
Starting from a structure optimized by DFT (PBE), the PXRD pattern of La3Pr9Tm2 was computed for Cu Kα, 1.54184 Å.
Peak positions follow from Bragg's law for the DFT cell and can differ from measured ones.

Cell and atoms:
Unit cell a=6.2622 b=7.0884 c=12.0736 alpha=105.98 beta=102.04 gamma=92.54
Sites, in units of the cell vectors:
La: 0.0000 0.0000 0.0000
La: 0.1840 0.8741 0.5695
La: 0.7612 0.1673 0.4206
Pr: 0.0804 0.4723 0.2717
Pr: 0.1815 0.9888 0.2966
Pr: 0.3046 0.3031 0.8539
Pr: 0.3230 0.3884 0.5693
Pr: 0.5079 0.7300 0.1311
Pr: 0.6249 0.6584 0.4207
Pr: 0.7456 0.0837 0.7082
Pr: 0.8713 0.4883 0.9799
Pr: 0.8882 0.5964 0.7106
Tm: 0.4487 0.8094 0.8503
Tm: 0.5418 0.2324 0.1345

Most intense lines, 5 to 70 degrees two-theta, in order of rising 2θ:
28.56 deg, I = 57.8; 29.91 deg, I = 100.0; 30.65 deg, I = 73.7; 30.98 deg, I = 80.3; 31.59 deg, I = 64.1; 31.71 deg, I = 74.6; 32.22 deg, I = 27.0; 54.73 deg, I = 26.5

---

[2]
Starting from a structure optimized by DFT (PBE), the PXRD pattern of La7Pr2Tm4 was computed for Cu Kα, 1.54184 Å.
Peak positions follow from Bragg's law for the DFT cell and can differ from measured ones.

Cell and atoms:
Unit cell a=6.2950 b=6.2950 c=13.1456 alpha=90.00 beta=90.00 gamma=120.00
Sites, in units of the cell vectors:
La: 0.0000 0.0000 0.0000
La: 0.0000 0.3838 0.2330
La: 0.0000 0.6162 0.7670
La: 0.3838 0.0000 0.2330
La: 0.3838 0.3838 0.7670
La: 0.6162 0.0000 0.7670
La: 0.6162 0.6162 0.2330
Pr: 0.3333 0.6667 0.0000
Pr: 0.6667 0.3333 0.0000
Tm: 0.0000 0.0000 0.3908
Tm: 0.0000 0.0000 0.6092
Tm: 0.3333 0.6667 0.5000
Tm: 0.6667 0.3333 0.5000

Most intense lines, 5 to 70 degrees two-theta, in order of rising 2θ:
27.13 deg, I = 24.4; 28.36 deg, I = 23.3; 29.17 deg, I = 38.1; 31.51 deg, I = 100.0; 31.79 deg, I = 24.8; 35.10 deg, I = 25.8; 50.20 deg, I = 26.8; 50.77 deg, I = 16.7

---

[3]
Starting from a structure optimized by DFT (PBE), the PXRD pattern of La3Pr4Tm2 was computed for Cu Kα, 1.54184 Å.
Peak positions follow from Bragg's law for the DFT cell and can differ from measured ones.

Cell and atoms:
Unit cell a=6.5716 b=6.5716 c=9.3258 alpha=100.50 beta=100.50 gamma=53.51
Sites, in units of the cell vectors:
La: 0.0000 0.0000 0.0000
La: 0.1181 0.1181 0.6833
La: 0.8819 0.8819 0.3167
Pr: 0.2257 0.2257 0.3710
Pr: 0.3216 0.3216 0.0382
Pr: 0.6784 0.6784 0.9618
Pr: 0.7743 0.7743 0.6290
Tm: 0.4397 0.4397 0.6895
Tm: 0.5603 0.5603 0.3105

Most intense lines, 5 to 70 degrees two-theta, in order of rising 2θ:
29.35 deg, I = 44.2; 30.21 deg, I = 55.5; 31.03 deg, I = 100.0; 31.16 deg, I = 85.2; 42.62 deg, I = 32.1; 46.42 deg, I = 14.8; 54.22 deg, I = 38.6; 56.39 deg, I = 18.6

---

[4]
Starting from a structure optimized by DFT (PBE), the PXRD pattern of La8Pr3Tm2 was computed for Cu Kα, 1.54184 Å.
Peak positions follow from Bragg's law for the DFT cell and can differ from measured ones.

Cell and atoms:
Unit cell a=9.0219 b=9.0219 c=6.2761 alpha=106.77 beta=106.77 gamma=83.10
Sites, in units of the cell vectors:
La: 0.0525 0.0525 0.2961
La: 0.0638 0.5822 0.8239
La: 0.3537 0.3537 0.4467
La: 0.4178 0.9362 0.1761
La: 0.5822 0.0638 0.8239
La: 0.6463 0.6463 0.5533
La: 0.9362 0.4178 0.1761
La: 0.9475 0.9475 0.7039
Pr: 0.2533 0.7467 0.5000
Pr: 0.5000 0.5000 0.0000
Pr: 0.7467 0.2533 0.5000
Tm: 0.2119 0.2119 0.8450
Tm: 0.7881 0.7881 0.1550

Most intense lines, 5 to 70 degrees two-theta, in order of rising 2θ:
28.92 deg, I = 26.4; 29.84 deg, I = 89.7; 30.72 deg, I = 100.0; 31.87 deg, I = 28.8; 32.31 deg, I = 21.3; 36.75 deg, I = 21.1; 38.48 deg, I = 17.0; 53.55 deg, I = 20.6

---

[5]
Starting from a structure optimized by DFT (PBE), the PXRD pattern of La8PrTm3 was computed for Cu Kα, 1.54184 Å.
Peak positions follow from Bragg's law for the DFT cell and can differ from measured ones.

Cell and atoms:
Unit cell a=8.8303 b=8.8303 c=8.8303 alpha=134.39 beta=100.38 gamma=96.90
Sites, in units of the cell vectors:
La: 0.0801 0.2467 0.8334
La: 0.2209 0.2802 0.5011
La: 0.2209 0.7198 0.9408
La: 0.4133 0.2467 0.1666
La: 0.5867 0.7533 0.8334
La: 0.7791 0.2802 0.0592
La: 0.7791 0.7198 0.4989
La: 0.9199 0.7533 0.1666
Pr: 0.5000 0.5000 0.0000
Tm: 0.0000 0.0000 0.0000
Tm: 0.2181 0.7181 0.5000
Tm: 0.7819 0.2819 0.5000

Most intense lines, 5 to 70 degrees two-theta, in order of rising 2θ:
10.88 deg, I = 15.0; 21.46 deg, I = 17.9; 30.25 deg, I = 40.2; 30.53 deg, I = 72.5; 31.10 deg, I = 100.0; 34.24 deg, I = 34.8; 49.20 deg, I = 19.6; 56.67 deg, I = 15.4

---

[6]
Starting from a structure optimized by DFT (PBE), the PXRD pattern of La3Pr2Tm3 was computed for Cu Kα, 1.54184 Å.
Peak positions follow from Bragg's law for the DFT cell and can differ from measured ones.

Cell and atoms:
Unit cell a=11.0252 b=11.0252 c=11.0252 alpha=153.47 beta=152.81 gamma=38.35
Sites, in units of the cell vectors:
La: 0.0000 0.0000 0.0000
La: 0.3788 0.8788 0.5000
La: 0.6212 0.1212 0.5000
Pr: 0.2486 0.2486 0.0000
Pr: 0.7514 0.7514 0.0000
Tm: 0.1250 0.6250 0.5000
Tm: 0.5000 0.5000 0.0000
Tm: 0.8750 0.3750 0.5000

Most intense lines, 5 to 70 degrees two-theta, in order of rising 2θ:
30.06 deg, I = 100.0; 34.45 deg, I = 17.3; 34.62 deg, I = 17.3; 35.48 deg, I = 16.1; 59.02 deg, I = 14.5; 59.24 deg, I = 14.7; 60.39 deg, I = 13.8; 62.49 deg, I = 12.4

---

[7]
Starting from a structure optimized by DFT (PBE), the PXRD pattern of LaPr6Tm4 was computed for Cu Kα, 1.54184 Å.
Peak positions follow from Bragg's law for the DFT cell and can differ from measured ones.

Cell and atoms:
Unit cell a=11.1792 b=11.1792 c=3.6015 alpha=90.00 beta=90.00 gamma=120.00
Sites, in units of the cell vectors:
La: 0.0000 0.0000 0.0000
Pr: 0.1833 0.3665 0.5000
Pr: 0.1833 0.8167 0.5000
Pr: 0.5240 0.0479 0.0000
Pr: 0.5240 0.4760 0.0000
Pr: 0.6335 0.8167 0.5000
Pr: 0.9521 0.4760 0.0000
Tm: 0.3248 0.1624 0.5000
Tm: 0.3333 0.6667 0.0000
Tm: 0.8376 0.1624 0.5000
Tm: 0.8376 0.6752 0.5000

Most intense lines, 5 to 70 degrees two-theta, in order of rising 2θ:
27.64 deg, I = 16.2; 29.50 deg, I = 26.2; 30.95 deg, I = 79.3; 32.02 deg, I = 100.0; 34.96 deg, I = 35.4; 45.13 deg, I = 19.9; 56.41 deg, I = 15.7; 61.23 deg, I = 31.3

---

[8]
Starting from a structure optimized by DFT (PBE), the PXRD pattern of La8PrTm5 was computed for Cu Kα, 1.54184 Å.
Peak positions follow from Bragg's law for the DFT cell and can differ from measured ones.

Cell and atoms:
Unit cell a=8.6307 b=8.6698 c=8.7376 alpha=112.86 beta=98.63 gamma=116.89
Sites, in units of the cell vectors:
La: 0.0000 0.0000 0.0000
La: 0.0144 0.4085 0.8093
La: 0.1639 0.1322 0.5051
La: 0.2133 0.5133 0.2957
La: 0.3360 0.8648 0.1268
La: 0.4856 0.6528 0.7543
La: 0.5990 0.4061 0.3704
La: 0.6244 0.1322 0.9579
Pr: 0.5336 0.1322 0.5908
Tm: 0.1122 0.7766 0.6427
Tm: 0.3943 0.3678 0.9657
Tm: 0.7452 0.8769 0.5309
Tm: 0.8284 0.1733 0.3425
Tm: 0.8831 0.6500 0.1776

Most intense lines, 5 to 70 degrees two-theta, in order of rising 2θ:
25.57 deg, I = 29.8; 31.00 deg, I = 57.3; 31.31 deg, I = 63.1; 31.63 deg, I = 100.0; 32.12 deg, I = 26.5; 32.31 deg, I = 27.2; 33.33 deg, I = 35.9; 33.76 deg, I = 31.7

---

[9]
Starting from a structure optimized by DFT (PBE), the PXRD pattern of La5Pr4Tm4 was computed for Cu Kα, 1.54184 Å.
Peak positions follow from Bragg's law for the DFT cell and can differ from measured ones.

Cell and atoms:
Unit cell a=9.1206 b=9.1206 c=10.7584 alpha=119.46 beta=119.46 gamma=36.67
Sites, in units of the cell vectors:
La: 0.0000 0.0000 0.0000
La: 0.2892 0.2892 0.7677
La: 0.4455 0.4455 0.1439
La: 0.5545 0.5545 0.8561
La: 0.7108 0.7108 0.2323
Pr: 0.0414 0.0414 0.6778
Pr: 0.3817 0.3817 0.4395
Pr: 0.6183 0.6183 0.5605
Pr: 0.9586 0.9586 0.3222
Tm: 0.1746 0.1746 0.3980
Tm: 0.2142 0.2142 0.0395
Tm: 0.7858 0.7858 0.9605
Tm: 0.8254 0.8254 0.6020

Most intense lines, 5 to 70 degrees two-theta, in order of rising 2θ:
30.37 deg, I = 100.0; 30.77 deg, I = 80.1; 31.17 deg, I = 41.3; 44.05 deg, I = 22.5; 54.41 deg, I = 18.4; 54.50 deg, I = 12.4; 54.98 deg, I = 14.0; 55.21 deg, I = 15.4

---

[10]
Starting from a structure optimized by DFT (PBE), the PXRD pattern of LaPr15Tm4 was computed for Cu Kα, 1.54184 Å.
Peak positions follow from Bragg's law for the DFT cell and can differ from measured ones.

Cell and atoms:
Unit cell a=5.1973 b=5.1973 c=25.9321 alpha=90.00 beta=90.00 gamma=90.00
Sites, in units of the cell vectors:
La: 0.0000 0.0000 0.0000
Pr: 0.0000 0.5000 0.1030
Pr: 0.0000 0.5000 0.3016
Pr: 0.0000 0.5000 0.5000
Pr: 0.0000 0.5000 0.6984
Pr: 0.0000 0.5000 0.8970
Pr: 0.5000 0.0000 0.1030
Pr: 0.5000 0.0000 0.3016
Pr: 0.5000 0.0000 0.5000
Pr: 0.5000 0.0000 0.6984
Pr: 0.5000 0.0000 0.8970
Pr: 0.5000 0.5000 0.0000
Pr: 0.5000 0.5000 0.2033
Pr: 0.5000 0.5000 0.4009
Pr: 0.5000 0.5000 0.5991
Pr: 0.5000 0.5000 0.7967
Tm: 0.0000 0.0000 0.2023
Tm: 0.0000 0.0000 0.4009
Tm: 0.0000 0.0000 0.5991
Tm: 0.0000 0.0000 0.7977

Most intense lines, 5 to 70 degrees two-theta, in order of rising 2θ:
29.80 deg, I = 100.0; 34.54 deg, I = 50.7; 49.65 deg, I = 36.2; 58.98 deg, I = 43.0; 61.89 deg, I = 12.4

---

[11]
Starting from a structure optimized by DFT (PBE), the PXRD pattern of LaPr3Tm6 was computed for Cu Kα, 1.54184 Å.
Peak positions follow from Bragg's law for the DFT cell and can differ from measured ones.

Cell and atoms:
Unit cell a=6.6377 b=6.6377 c=9.7322 alpha=111.50 beta=111.50 gamma=59.33
Sites, in units of the cell vectors:
La: 0.0000 0.0000 0.0000
Pr: 0.0711 0.0711 0.7000
Pr: 0.5000 0.5000 0.5000
Pr: 0.9289 0.9289 0.3000
Tm: 0.0679 0.5611 0.6873
Tm: 0.3642 0.3642 0.0785
Tm: 0.4389 0.9321 0.3127
Tm: 0.5611 0.0679 0.6873
Tm: 0.6358 0.6358 0.9215
Tm: 0.9321 0.4389 0.3127

Most intense lines, 5 to 70 degrees two-theta, in order of rising 2θ:
28.50 deg, I = 35.2; 30.39 deg, I = 20.9; 31.04 deg, I = 32.1; 31.31 deg, I = 30.4; 31.51 deg, I = 100.0; 32.18 deg, I = 35.8; 33.38 deg, I = 21.7; 55.39 deg, I = 25.8

---

[12]
Starting from a structure optimized by DFT (PBE), the PXRD pattern of La3Pr7Tm was computed for Cu Kα, 1.54184 Å.
Peak positions follow from Bragg's law for the DFT cell and can differ from measured ones.

Cell and atoms:
Unit cell a=7.9182 b=7.9182 c=6.6045 alpha=93.05 beta=93.05 gamma=82.33
Sites, in units of the cell vectors:
La: 0.0000 0.0000 0.0000
La: 0.1736 0.8264 0.5000
La: 0.8264 0.1736 0.5000
Pr: 0.0884 0.4320 0.2376
Pr: 0.2396 0.2396 0.7152
Pr: 0.4320 0.0884 0.2376
Pr: 0.5000 0.5000 0.5000
Pr: 0.5680 0.9116 0.7624
Pr: 0.7604 0.7604 0.2848
Pr: 0.9116 0.5680 0.7624
Tm: 0.5000 0.5000 0.0000

Most intense lines, 5 to 70 degrees two-theta, in order of rising 2θ:
30.06 deg, I = 100.0; 30.28 deg, I = 61.7; 31.98 deg, I = 41.8; 36.40 deg, I = 38.2; 49.20 deg, I = 16.1; 55.81 deg, I = 15.6; 61.49 deg, I = 14.5; 61.86 deg, I = 24.9